The following is a calculated powder diffractogram of Cs2SmBeO4. It was derived from a DFT-relaxed cell (PBE, Alexandria), using CuKα.
Neutral-atom scattering factors, no anomalous dispersion.

Top 10 peaks for 10 to 80 degrees two-theta, by angle:
two_theta  intensity
18.7  70
26.0  59
26.2  100
27.7  41
28.7  37
33.1  55
37.2  38
41.0  29
45.0  26
50.8  32

Crystal structure
```
Cs2SmBeO4
1.0
0.0000 6.2142 12.1982
2.6206 0.0000 12.1982
2.6206 6.2142 0.0000
Cs Sm Be O
4 2 2 8
Cartesian
1.9654 4.6607 1.2885 Cs
3.2757 7.7678 7.3876 Cs
1.9654 4.6607 17.0088 Cs
3.2757 7.7678 23.1079 Cs
0.6551 1.5536 3.0496 Sm
4.5860 10.8749 21.3469 Sm
1.9654 4.6607 9.1487 Be
3.2757 7.7678 15.2478 Be
2.9158 3.6388 8.1953 O
2.9158 5.6825 10.1020 O
4.2261 6.7459 16.2012 O
4.2261 8.7897 14.2944 O
1.0151 3.6388 10.1020 O
1.0151 5.6825 8.1953 O
2.3253 6.7459 14.2944 O
2.3253 8.7897 16.2012 O
```

The following is a calculated powder diffractogram of CaThMoN3. It was derived from a DFT-relaxed cell (PBE, Alexandria), using CuKα.
Neutral-atom scattering factors, no anomalous dispersion.

Top 10 peaks for 10 to 80 degrees two-theta, by angle:
two_theta  intensity
16.2  100
25.0  18
28.2  21
29.0  24
31.1  57
32.0  56
33.7  22
40.5  21
41.8  20
50.6  22

Crystal structure
```
CaThMoN3
1.0
6.3584 0.0000 0.0000
0.0000 3.5261 0.0000
-0.9207 0.0000 9.2079
Ca Th Mo N
2 2 2 6
Cartesian
1.2670 0.8815 2.2305 Ca
4.1708 2.6446 6.9774 Ca
0.7363 0.8815 5.7089 Th
4.7014 2.6446 3.4990 Th
1.5274 2.6446 8.4929 Mo
3.9103 0.8815 0.7150 Mo
0.1084 2.6446 7.2407 N
0.7043 2.6446 4.0541 N
2.9271 2.6446 1.3796 N
2.5106 0.8815 7.8283 N
4.7334 0.8815 5.1537 N
5.3294 0.8815 1.9672 N
```

The following is a calculated powder diffractogram of Ce4BiSbH. It was derived from a DFT-relaxed cell (PBE, Alexandria), using CuKα.
Neutral-atom scattering factors, no anomalous dispersion.

Top 10 peaks for 10 to 80 degrees two-theta, by angle:
two_theta  intensity
27.8  21
29.6  84
30.2  40
32.0  26
34.5  100
39.7  60
50.7  38
57.4  20
65.9  17
68.7  27

Crystal structure
```
Ce4BiSbH
1.0
3.2089 -8.8784 0.0000
3.2089 8.8784 0.0000
0.0000 0.0000 6.4236
Ce Bi Sb H
8 2 2 2
Cartesian
1.6044 4.4392 0.0000 Ce
1.6044 4.4392 3.2118 Ce
3.2089 7.6010 4.8177 Ce
3.2089 1.3672 4.8177 Ce
1.6044 -4.4392 0.0000 Ce
1.6044 -4.4392 3.2118 Ce
3.2089 -1.3672 1.6059 Ce
3.2089 -7.6010 1.6059 Ce
3.2089 1.9457 1.6059 Bi
3.2089 -1.9457 4.8177 Bi
3.2089 6.8718 1.6059 Sb
3.2089 -6.8718 4.8177 Sb
3.2089 5.2400 4.8177 H
3.2089 -5.2400 1.6059 H
```

The following is a calculated powder diffractogram of Pm4Sm3Tm. It was derived from a DFT-relaxed cell (PBE, Alexandria), using CuKα.
Neutral-atom scattering factors, no anomalous dispersion.

Top 7 peaks for 10 to 80 degrees two-theta, by angle:
two_theta  intensity
30.2  100
35.1  51
50.4  36
59.9  43
62.9  12
74.0  4
74.2  2

Crystal structure
```
Pm4Sm3Tm
1.0
10.2260 0.0000 0.0000
0.0000 7.2456 0.0000
0.0000 0.0000 7.2450
Pm Sm Tm
8 6 2
Cartesian
0.0000 0.0000 0.0000 Pm
0.0000 3.6228 3.6225 Pm
2.5565 1.7996 1.8112 Pm
2.5565 5.4460 5.4337 Pm
5.1130 0.0000 3.6225 Pm
5.1130 3.6228 0.0000 Pm
7.6695 1.7996 1.8112 Pm
7.6695 5.4460 5.4337 Pm
0.0000 3.6228 0.0000 Sm
2.5565 1.8000 5.4337 Sm
2.5565 5.4456 1.8112 Sm
5.1130 3.6228 3.6225 Sm
7.6695 1.8000 5.4337 Sm
7.6695 5.4456 1.8112 Sm
0.0000 0.0000 3.6225 Tm
5.1130 0.0000 0.0000 Tm
```

- Which formula does entry 3 have?
  Ce4BiSbH